1.
This entry pairs a crystal structure of FeHO2 with its computed PXRD pattern. Radiation: Cu Kα (weighted mean of Kα1 and Kα2). Structure: a PBE+U-relaxed structure.

Main lines, by angle (2θ = 10–80°):
| 2θ (°) | I (rel.) | index |
| --- | --- | --- |
| 14.8 | 94.3 | 2 0 0 |
| 27.2 | 99.6 | 2 0 -1 |
| 36.7 | 100.0 | 3 1 0 |
| 37.8 | 31.8 | 1 1 1 |
| 46.5 | 31.3 | 0 0 2 |
| 47.9 | 24.1 | 5 1 0 |
| 53.7 | 37.8 | 5 1 -1 |
| 60.6 | 18.3 | 3 1 -2 |
| 60.7 | 17.7 | 3 1 2 |
| 66.8 | 24.3 | 2 2 -1 |

```
data_FeHO2
_symmetry_space_group_name_H-M 'C 1 2/m 1'
_symmetry_Int_Tables_number 12
_cell_length_a 12.006
_cell_length_b 3.096
_cell_length_c 3.910
_cell_angle_alpha 90.00
_cell_angle_beta 90.16
_cell_angle_gamma 90.00
loop_
_symmetry_equiv_pos_as_xyz
'x,y,z'
'-x,-y,-z'
'-x,y,-z'
'x,-y,z'
'x+1/2,y+1/2,z'
'-x+1/2,-y+1/2,-z'
'-x+1/2,y+1/2,-z'
'x+1/2,-y+1/2,z'
loop_
_atom_site_label
_atom_site_type_symbol
_atom_site_fract_x
_atom_site_fract_y
_atom_site_fract_z
Fe1 Fe 0.173 0.000 0.252
H1 H 0.000 0.500 0.000
H2 H 0.000 0.500 0.500
O1 O 0.061 0.500 0.251
O2 O 0.208 0.000 0.752
```


2.
This entry pairs a crystal structure of FeHO2 with its computed PXRD pattern. Radiation: Cu Kα (weighted mean of Kα1 and Kα2). Structure: a PBE+U-relaxed structure.

Main lines, by angle (2θ = 10–80°):
| 2θ (°) | I (rel.) | index |
| --- | --- | --- |
| 21.1 | 100.0 | 0 1 1 |
| 26.1 | 15.3 | 0 1 2 |
| 33.0 | 42.3 | 0 1 3 |
| 34.3 | 25.0 | 1 0 2 |
| 35.7 | 20.9 | 0 0 4 |
| 36.3 | 82.5 | 1 1 1 |
| 40.8 | 20.2 | 0 1 4 |
| 50.2 | 16.9 | 1 2 1 |
| 52.8 | 36.8 | 1 2 2 |
| 58.4 | 29.0 | 1 1 5 |

```
data_FeHO2
_symmetry_space_group_name_H-M 'P 21 21 21'
_symmetry_Int_Tables_number 19
_cell_length_a 3.056
_cell_length_b 4.642
_cell_length_c 10.056
_cell_angle_alpha 90.00
_cell_angle_beta 90.00
_cell_angle_gamma 90.00
loop_
_symmetry_equiv_pos_as_xyz
'x,y,z'
'-x+1/2,-y,z+1/2'
'x+1/2,-y+1/2,-z'
'-x,y+1/2,-z+1/2'
loop_
_atom_site_label
_atom_site_type_symbol
_atom_site_fract_x
_atom_site_fract_y
_atom_site_fract_z
Fe1 Fe 0.249 0.193 0.145
H1 H 0.247 0.854 0.909
O1 O 0.247 0.057 0.943
O2 O 0.249 0.560 0.804
```


3.
This entry pairs a crystal structure of FeHO2 with its computed PXRD pattern. Radiation: Cu Kα (weighted mean of Kα1 and Kα2). Structure: a PBE+U-relaxed structure.

Main lines, by angle (2θ = 10–80°):
| 2θ (°) | I (rel.) | index |
| --- | --- | --- |
| 11.7 | 100.0 | 0 2 0 |
| 24.9 | 37.5 | 0 2 1 |
| 32.4 | 6.4 | 0 4 1 |
| 38.6 | 18.7 | 1 3 0 |
| 41.3 | 7.4 | 1 1 1 |
| 44.8 | 15.8 | 0 0 2 |
| 45.7 | 18.2 | 1 5 0 |
| 59.9 | 8.3 | 1 7 1 |
| 60.5 | 8.6 | 1 3 2 |
| 65.9 | 13.4 | 1 5 2 |

```
data_FeHO2
_symmetry_space_group_name_H-M 'C m c m'
_symmetry_Int_Tables_number 63
_symmetry_space_group_name_Hall '-C 2c 2'
_cell_length_a 2.633
_cell_length_b 15.141
_cell_length_c 4.049
_cell_angle_alpha 90.00
_cell_angle_beta 90.00
_cell_angle_gamma 90.00
loop_
_atom_site_label
_atom_site_type_symbol
_atom_site_fract_x
_atom_site_fract_y
_atom_site_fract_z
Fe1 Fe 0.000 0.188 0.250
H1 H 0.000 0.057 0.250
O1 O 0.000 0.214 0.750
O2 O 0.000 0.417 0.750
```